No. 1
Computed X-ray diffraction stick pattern of ErTiFe11C for λ = 1.5418 Å (Cu Kα), from a crystal structure in the Materials Project, relaxed with PBE.

Most intense lines, 10 to 90 degrees two-theta, in order of rising 2θ:
d (Å)	2θ/deg	intensity
2.997	29.8	28
2.456	36.6	18
2.447	36.7	17
2.136	42.3	22
2.125	42.5	100
2.107	42.9	59
1.889	48.2	16
1.334	70.6	16

Atomic structure:
abc: 6.4970 6.4970 6.4970
angles: 136.18 97.76 98.25
Fractional positions:
Er 0.0000 0.0000 0.0000
Ti 0.3718 0.3718 0.0000
Fe 0.0043 0.0053 0.4977
Fe 0.0043 0.5066 0.9990
Fe 0.2292 0.5087 0.7205
Fe 0.2286 0.7286 0.5000
Fe 0.3650 0.0069 0.3581
Fe 0.5075 0.0053 0.0010
Fe 0.5075 0.5066 0.5023
Fe 0.6488 0.0069 0.6419
Fe 0.6504 0.6504 0.0000
Fe 0.7830 0.2830 0.5000
Fe 0.7882 0.5087 0.2795
C 0.0051 0.5051 0.5000

---

No. 2
Computed X-ray diffraction stick pattern of Er5Ge3C for λ = 1.5418 Å (Cu Kα), from a crystal structure in the Materials Project, relaxed with PBE.

Most intense lines, 10 to 90 degrees two-theta, in order of rising 2θ:
d (Å)	2θ/deg	intensity
2.935	30.5	37
2.762	32.4	43
2.552	35.2	67
2.537	35.4	100
2.436	36.9	20
1.762	51.9	21
1.690	54.3	29
1.330	70.9	20

Atomic structure:
abc: 8.4395 8.4395 6.4103
angles: 90.00 90.00 120.00
Fractional positions:
Er 0.0000 0.2212 0.2500
Er 0.0000 0.7788 0.7500
Er 0.2212 0.0000 0.2500
Er 0.2212 0.2212 0.7500
Er 0.3333 0.6667 0.0000
Er 0.3333 0.6667 0.5000
Er 0.6667 0.3333 0.0000
Er 0.6667 0.3333 0.5000
Er 0.7788 0.0000 0.7500
Er 0.7788 0.7788 0.2500
Ge 0.0000 0.4078 0.7500
Ge 0.0000 0.5922 0.2500
Ge 0.4078 0.0000 0.7500
Ge 0.4078 0.4078 0.2500
Ge 0.5922 0.0000 0.2500
Ge 0.5922 0.5922 0.7500
C 0.0000 0.0000 0.0000
C 0.0000 0.0000 0.5000

---

No. 3
Computed X-ray diffraction stick pattern of ErH9C5N2O8 for λ = 1.5418 Å (Cu Kα), from a crystal structure in the Materials Project, relaxed with PBE.

Most intense lines, 10 to 90 degrees two-theta, in order of rising 2θ:
d (Å)	2θ/deg	intensity
6.256	14.2	46
5.949	14.9	100
5.321	16.7	30
4.929	18.0	24
4.770	18.6	48
3.963	22.4	40
3.180	28.1	27
2.975	30.0	21

Atomic structure:
abc: 6.6784 6.6784 6.6227
angles: 106.07 106.07 64.98
Fractional positions:
Er 0.0000 0.0000 0.0000
H 0.0885 0.9115 0.5000
H 0.1861 0.3452 0.4208
H 0.4525 0.5419 0.7991
H 0.4581 0.5475 0.2009
H 0.4618 0.1651 0.1274
H 0.4810 0.2607 0.5200
H 0.6548 0.8139 0.5792
H 0.7393 0.5190 0.4800
H 0.8349 0.5382 0.8726
C 0.2930 0.5326 0.7001
C 0.4674 0.7070 0.2999
C 0.4686 0.0597 0.9649
C 0.9350 0.0650 0.5000
C 0.9403 0.5314 0.0351
N 0.3193 0.3642 0.5358
N 0.6358 0.6807 0.4642
O 0.0092 0.6886 0.1260
O 0.1061 0.6736 0.7441
O 0.3114 0.9908 0.8740
O 0.3264 0.8939 0.2559
O 0.6379 0.0186 0.8846
O 0.8456 0.1412 0.6661
O 0.8588 0.1544 0.3339
O 0.9814 0.3621 0.1154